# Zr4AlAsN2
Calculated X-ray powder pattern, copper Kα. Input: a GGA-PBE-relaxed structure.

Atomic structure:
Lattice parameters (Å, degrees): 3.3495 3.3495 13.3834 90.00 90.00 120.00
Space group P-6m2 (No. 187)
Asymmetric unit:
Zr 0.0000 0.0000 0.1437
Zr 0.6667 0.3333 0.3303
Al 0.0000 0.0000 0.5000
As 0.6667 0.3333 0.0000
N 0.3333 0.6667 0.2391

Largest 8 diffraction maxima, sorted by position, 2θ = 10–90°:
| h k l | 2θ (°) | I (rel.) |
| --- | --- | --- |
| 1 0 0 | 30.82 | 24 |
| 1 0 3 | 36.96 | 100 |
| 0 0 6 | 40.44 | 12 |
| 1 0 4 | 41.19 | 11 |
| 1 0 6 | 51.70 | 14 |
| 1 1 0 | 54.82 | 25 |
| 2 0 3 | 67.96 | 16 |
| 1 1 6 | 70.29 | 14 |